The following is a simulated powder XRD pattern of LaCe4P6. It was derived from a PBE-relaxed structure, using Cu Kα (λ = 1.5418 Å).
Peak positions follow from Bragg's law for the DFT cell and can differ from measured ones.

Unit cell a=8.0493 b=8.0493 c=8.0493 alpha=88.69 beta=88.69 gamma=88.69
Element x y z (fractional)
La  0.0000  0.0000  0.0000
La  0.5000  0.5000  0.5000
Ce  0.1336  0.7500  0.3664
Ce  0.2500  0.2500  0.2500
Ce  0.2500  0.6336  0.8664
Ce  0.3664  0.1336  0.7500
Ce  0.6336  0.8664  0.2500
Ce  0.7500  0.3664  0.1336
Ce  0.7500  0.7500  0.7500
Ce  0.8664  0.2500  0.6336
P  0.0686  0.9131  0.6680
P  0.0869  0.3320  0.9314
P  0.1680  0.4131  0.5686
P  0.3320  0.9314  0.0869
P  0.4131  0.5686  0.1680
P  0.4314  0.8320  0.5869
P  0.5686  0.1680  0.4131
P  0.5869  0.4314  0.8320
P  0.6680  0.0686  0.9131
P  0.8320  0.5869  0.4314
P  0.9131  0.6680  0.0686
P  0.9314  0.0869  0.3320

Most intense lines, 2θ = 10–90°, sorted by position:
24.5°, rel. 63
27.5°, rel. 100
31.1°, rel. 58
33.8°, rel. 41
35.0°, rel. 46
37.1°, rel. 37
48.0°, rel. 39
73.0°, rel. 22

***

The following is a simulated powder XRD pattern of LaCe2PaP4. It was derived from a PBE-relaxed structure, using Cu Kα (λ = 1.5418 Å).
Peak positions follow from Bragg's law for the DFT cell and can differ from measured ones.

Unit cell a=7.1041 b=7.1041 c=7.1041 alpha=131.84 beta=131.84 gamma=70.49
Element x y z (fractional)
La  0.0000  0.0000  0.0000
Ce  0.5000  0.5000  0.0000
Ce  0.7500  0.2500  0.5000
Pa  0.2500  0.7500  0.5000
P  0.0078  0.5078  0.5000
P  0.2545  0.2545  0.0000
P  0.4922  0.9922  0.5000
P  0.7455  0.7455  0.0000

Most intense lines, 2θ = 10–90°, sorted by position:
26.6°, rel. 87
30.8°, rel. 100
44.2°, rel. 74
52.3°, rel. 43
54.8°, rel. 26
70.8°, rel. 18
73.0°, rel. 33
81.3°, rel. 25

***

The following is a simulated powder XRD pattern of La2CePrP4. It was derived from a PBE-relaxed structure, using Cu Kα (λ = 1.5418 Å).
Peak positions follow from Bragg's law for the DFT cell and can differ from measured ones.

Unit cell a=7.2860 b=4.2091 c=7.2975 alpha=90.00 beta=109.38 gamma=90.00
Element x y z (fractional)
La  0.0000  0.0000  0.0000
La  0.5000  0.5000  0.0000
Ce  0.0000  0.5000  0.5000
Pr  0.5000  0.0000  0.5000
P  0.2422  0.0000  0.7405
P  0.2465  0.5000  0.2564
P  0.7535  0.5000  0.7436
P  0.7578  0.0000  0.2595

Most intense lines, 2θ = 10–90°, sorted by position:
25.9°, rel. 76
30.0°, rel. 100
43.0°, rel. 73
50.9°, rel. 35
53.3°, rel. 26
62.4°, rel. 12
70.7°, rel. 27
78.8°, rel. 18

***

The following is a simulated powder XRD pattern of La2CeP3Rh12. It was derived from a PBE-relaxed structure, using Cu Kα (λ = 1.5418 Å).
Peak positions follow from Bragg's law for the DFT cell and can differ from measured ones.

Unit cell a=6.8030 b=6.8030 c=6.8030 alpha=81.68 beta=81.68 gamma=81.68
Element x y z (fractional)
La  0.1171  0.1171  0.1171
La  0.8829  0.8829  0.8829
Ce  0.5000  0.5000  0.5000
P  0.0000  0.5000  0.5000
P  0.5000  0.0000  0.5000
P  0.5000  0.5000  0.0000
Rh  0.1470  0.1470  0.5843
Rh  0.1470  0.5843  0.1470
Rh  0.1566  0.6767  0.6767
Rh  0.3233  0.3233  0.8434
Rh  0.3233  0.8434  0.3233
Rh  0.4157  0.8530  0.8530
Rh  0.5843  0.1470  0.1470
Rh  0.6767  0.1566  0.6767
Rh  0.6767  0.6767  0.1566
Rh  0.8434  0.3233  0.3233
Rh  0.8530  0.4157  0.8530
Rh  0.8530  0.8530  0.4157

Most intense lines, 2θ = 10–90°, sorted by position:
33.6°, rel. 34
35.5°, rel. 72
40.5°, rel. 18
40.6°, rel. 100
46.1°, rel. 17
55.0°, rel. 21
58.6°, rel. 20
63.0°, rel. 15

***

The following is a simulated powder XRD pattern of LaCeSbP. It was derived from a PBE-relaxed structure, using Cu Kα (λ = 1.5418 Å).
Peak positions follow from Bragg's law for the DFT cell and can differ from measured ones.

Unit cell a=7.6572 b=7.6572 c=7.6572 alpha=32.90 beta=32.90 gamma=32.90
Element x y z (fractional)
La  0.0000  0.0000  0.0000
Ce  0.5160  0.5160  0.5160
Sb  0.7613  0.7613  0.7613
P  0.2545  0.2545  0.2545

Most intense lines, 2θ = 10–90°, sorted by position:
25.1°, rel. 12
28.9°, rel. 100
41.0°, rel. 35
41.7°, rel. 38
51.5°, rel. 20
67.4°, rel. 14
68.3°, rel. 17
75.6°, rel. 11

***

The following is a simulated powder XRD pattern of LaCeTm2P4. It was derived from a PBE-relaxed structure, using Cu Kα (λ = 1.5418 Å).
Peak positions follow from Bragg's law for the DFT cell and can differ from measured ones.

Unit cell a=7.0213 b=4.0675 c=7.0526 alpha=90.00 beta=109.46 gamma=90.00
Element x y z (fractional)
La  0.0000  0.0000  0.0000
Ce  0.0000  0.5000  0.5000
Tm  0.5000  0.0000  0.5000
Tm  0.5000  0.5000  0.0000
P  0.2606  0.0000  0.7484
P  0.2635  0.5000  0.2605
P  0.7365  0.5000  0.7395
P  0.7394  0.0000  0.2516

Most intense lines, 2θ = 10–90°, sorted by position:
26.8°, rel. 63
26.9°, rel. 21
31.1°, rel. 100
44.5°, rel. 49
44.7°, rel. 24
52.8°, rel. 31
55.3°, rel. 19
73.6°, rel. 16

***

The following is a simulated powder XRD pattern of La2CePaRh2. It was derived from a PBE-relaxed structure, using Cu Kα (λ = 1.5418 Å).
Peak positions follow from Bragg's law for the DFT cell and can differ from measured ones.

Unit cell a=8.2385 b=8.2385 c=8.2385 alpha=128.20 beta=76.05 gamma=128.52
Element x y z (fractional)
La  0.1887  0.2347  0.4234
La  0.3113  0.7347  0.0460
La  0.6887  0.2653  0.9540
La  0.8113  0.7653  0.5766
Ce  0.2500  0.7500  0.5000
Ce  0.7500  0.2500  0.5000
Pa  0.2500  0.2500  0.0000
Pa  0.7500  0.7500  0.0000
Rh  0.0843  0.7683  0.8527
Rh  0.4157  0.2683  0.6840
Rh  0.5843  0.7317  0.3160
Rh  0.9157  0.2317  0.1473

Most intense lines, 2θ = 10–90°, sorted by position:
13.6°, rel. 51
28.4°, rel. 53
28.5°, rel. 52
32.8°, rel. 71
35.4°, rel. 100
37.4°, rel. 27
49.1°, rel. 31
62.9°, rel. 29

***

The following is a simulated powder XRD pattern of LaCe2Pb2. It was derived from a PBE-relaxed structure, using Cu Kα (λ = 1.5418 Å).
Peak positions follow from Bragg's law for the DFT cell and can differ from measured ones.

Unit cell a=6.5613 b=6.5613 c=7.8604 alpha=105.57 beta=105.57 gamma=78.45
Element x y z (fractional)
La  0.0907  0.9093  0.7500
La  0.9093  0.0907  0.2500
Ce  0.3394  0.4667  0.0679
Ce  0.4667  0.3394  0.5679
Ce  0.5333  0.6606  0.4321
Ce  0.6606  0.5333  0.9321
Pb  0.0122  0.6057  0.3328
Pb  0.3943  0.9878  0.1672
Pb  0.6057  0.0122  0.8328
Pb  0.9878  0.3943  0.6672

Most intense lines, 2θ = 10–90°, sorted by position:
20.6°, rel. 28
28.3°, rel. 90
28.5°, rel. 55
30.8°, rel. 57
33.1°, rel. 46
36.1°, rel. 100
37.1°, rel. 68
49.0°, rel. 30

***

The following is a simulated powder XRD pattern of LaCePb4. It was derived from a PBE-relaxed structure, using Cu Kα (λ = 1.5418 Å).
Peak positions follow from Bragg's law for the DFT cell and can differ from measured ones.

Unit cell a=6.4938 b=6.4938 c=6.4938 alpha=60.00 beta=60.00 gamma=60.00
Element x y z (fractional)
La  0.0000  0.0000  0.0000
Ce  0.7500  0.7500  0.7500
Pb  0.3751  0.3751  0.3751
Pb  0.3751  0.3751  0.8747
Pb  0.3751  0.8747  0.3751
Pb  0.8747  0.3751  0.3751

Most intense lines, 2θ = 10–90°, sorted by position:
16.7°, rel. 19
27.5°, rel. 16
32.3°, rel. 100
33.8°, rel. 54
51.7°, rel. 36
56.7°, rel. 34
67.7°, rel. 23
80.3°, rel. 23

***

The following is a simulated powder XRD pattern of La3Ce2Pb6. It was derived from a PBE-relaxed structure, using Cu Kα (λ = 1.5418 Å).
Peak positions follow from Bragg's law for the DFT cell and can differ from measured ones.

Unit cell a=15.4258 b=15.4258 c=15.4258 alpha=161.68 beta=161.68 gamma=26.01
Element x y z (fractional)
La  0.0000  0.0000  0.0000
La  0.1968  0.1968  0.0000
La  0.8032  0.8032  0.0000
Ce  0.4580  0.4580  0.0000
Ce  0.5420  0.5420  0.0000
Pb  0.1141  0.6141  0.5000
Pb  0.3045  0.3045  0.0000
Pb  0.3859  0.8859  0.5000
Pb  0.6141  0.1141  0.5000
Pb  0.6955  0.6955  0.0000
Pb  0.8859  0.3859  0.5000

Most intense lines, 2θ = 10–90°, sorted by position:
28.3°, rel. 100
31.3°, rel. 31
35.2°, rel. 69
36.6°, rel. 65
47.8°, rel. 19
52.7°, rel. 23
60.9°, rel. 24
65.0°, rel. 24

***

The following is a simulated powder XRD pattern of LaCePdPb. It was derived from a PBE-relaxed structure, using Cu Kα (λ = 1.5418 Å).
Peak positions follow from Bragg's law for the DFT cell and can differ from measured ones.

Unit cell a=5.4200 b=5.4200 c=5.4200 alpha=60.00 beta=60.00 gamma=60.00
Element x y z (fractional)
La  0.0000  0.0000  0.0000
Ce  0.5000  0.5000  0.5000
Pd  0.7500  0.7500  0.7500
Pb  0.2500  0.2500  0.2500

Most intense lines, 2θ = 10–90°, sorted by position:
20.1°, rel. 6
33.1°, rel. 100
39.0°, rel. 4
47.4°, rel. 18
59.0°, rel. 38
69.4°, rel. 12
79.0°, rel. 17
88.3°, rel. 4

***

The following is a simulated powder XRD pattern of LaCeTlPb. It was derived from a PBE-relaxed structure, using Cu Kα (λ = 1.5418 Å).
Peak positions follow from Bragg's law for the DFT cell and can differ from measured ones.

Unit cell a=4.6003 b=5.1294 c=5.1594 alpha=90.00 beta=90.00 gamma=90.00
Element x y z (fractional)
La  0.0000  0.0000  0.0000
Ce  0.0000  0.5000  0.5000
Tl  0.5000  0.5000  0.0000
Pb  0.5000  0.0000  0.5000

Most intense lines, 2θ = 10–90°, sorted by position:
31.4°, rel. 100
34.8°, rel. 19
35.0°, rel. 19
39.2°, rel. 14
50.2°, rel. 14
60.2°, rel. 16
60.5°, rel. 16
65.4°, rel. 12

***

The following is a simulated powder XRD pattern of La2CePd. It was derived from a PBE-relaxed structure, using Cu Kα (λ = 1.5418 Å).
Peak positions follow from Bragg's law for the DFT cell and can differ from measured ones.

Unit cell a=9.9756 b=9.9756 c=9.9756 alpha=22.46 beta=22.46 gamma=22.46
Element x y z (fractional)
La  0.0000  0.0000  0.0000
La  0.2005  0.2005  0.2005
Ce  0.4329  0.4329  0.4329
Pd  0.6002  0.6002  0.6002

Most intense lines, 2θ = 10–90°, sorted by position:
27.2°, rel. 18
29.2°, rel. 24
30.7°, rel. 100
34.3°, rel. 27
41.0°, rel. 24
46.8°, rel. 41
57.0°, rel. 17
76.7°, rel. 14

***

The following is a simulated powder XRD pattern of LaCePd. It was derived from a PBE-relaxed structure, using Cu Kα (λ = 1.5418 Å).
Peak positions follow from Bragg's law for the DFT cell and can differ from measured ones.

Unit cell a=4.2140 b=4.4451 c=8.6522 alpha=90.00 beta=94.64 gamma=90.00
Element x y z (fractional)
La  0.2300  0.2500  0.3556
La  0.7700  0.7500  0.6444
Ce  0.3057  0.7500  0.0179
Ce  0.6943  0.2500  0.9821
Pd  0.2398  0.2500  0.7168
Pd  0.7602  0.7500  0.2832

Most intense lines, 2θ = 10–90°, sorted by position:
30.5°, rel. 100
31.1°, rel. 79
31.7°, rel. 74
35.0°, rel. 74
37.1°, rel. 66
40.6°, rel. 55
43.1°, rel. 38
52.0°, rel. 37